# 1
For Pm6AgRh4, a structure optimized by DFT (GGA-PBE) gives the computed XRD peak list in this record (Cu Kα (λ = 1.5418 Å)).
Lines closer than 0.1° are merged.

Crystal structure
```
Pm6AgRh4
1.0
0.000 4.147 7.893
4.133 0.000 7.893
4.133 4.147 0.000
Pm Ag Rh
6 1 4
direct
0.221 0.779 0.221 Pm
0.318 0.318 0.182 Pm
0.415 0.858 0.585 Pm
0.779 0.221 0.779 Pm
0.818 0.818 0.682 Pm
0.858 0.415 0.142 Pm
0.819 0.819 0.181 Ag
0.241 0.663 0.759 Rh
0.396 0.972 0.028 Rh
0.663 0.241 0.337 Rh
0.972 0.396 0.604 Rh
```

Most intense lines, 15° ≤ 2θ ≤ 90°, by angle:
2theta  I (rel.)
30.5  24
31.3  45
32.6  100
34.1  37
34.7  32
38.3  73
40.6  41
43.7  27
43.8  26
63.0  21

# 2
For BaP4N7, a structure optimized by DFT (GGA-PBE) gives the computed XRD peak list in this record (Cu Kα (λ = 1.5418 Å)).
Lines closer than 0.1° are merged.

Crystal structure
```
BaP4N7
1.0
12.131 0.000 0.000
0.000 5.050 0.000
0.000 0.000 4.850
Ba P N
2 8 14
direct
0.000 0.211 0.000 Ba
0.500 0.789 0.500 Ba
0.121 0.675 0.511 P
0.248 0.809 0.005 P
0.252 0.191 0.505 P
0.379 0.325 0.011 P
0.621 0.325 0.011 P
0.748 0.191 0.505 P
0.752 0.809 0.005 P
0.879 0.675 0.511 P
0.000 0.759 0.404 N
0.136 0.750 0.836 N
0.140 0.360 0.451 N
0.216 0.857 0.336 N
0.284 0.143 0.836 N
0.360 0.640 0.951 N
0.364 0.250 0.336 N
0.500 0.241 0.904 N
0.636 0.250 0.336 N
0.640 0.640 0.951 N
0.716 0.143 0.836 N
0.784 0.857 0.336 N
0.860 0.360 0.451 N
0.864 0.750 0.836 N
```

Most intense lines, 15° ≤ 2θ ≤ 90°, by angle:
2theta  I (rel.)
19.0  11
25.5  22
26.5  12
28.3  39
28.7  41
29.5  100
35.6  23
37.1  22
41.6  13
52.3  22

# 3
For V2Re2Tc, a structure optimized by DFT (GGA-PBE) gives the computed XRD peak list in this record (Cu Kα (λ = 1.5418 Å)).
Lines closer than 0.1° are merged.

Crystal structure
```
V2Re2Tc
1.0
-2.277 4.668 3.563
2.277 -4.668 3.563
2.277 4.668 -3.563
V Re Tc
4 4 2
direct
0.165 0.042 0.123 V
0.419 0.042 0.377 V
0.581 0.958 0.623 V
0.835 0.958 0.877 V
0.099 0.663 0.436 Re
0.273 0.337 0.936 Re
0.727 0.663 0.064 Re
0.901 0.337 0.564 Re
0.364 0.614 0.750 Tc
0.636 0.386 0.250 Tc
```

Most intense lines, 15° ≤ 2θ ≤ 90°, by angle:
2theta  I (rel.)
19.0  25
23.2  37
31.4  72
39.6  54
42.9  64
43.4  100
47.4  18
51.3  42
74.5  20
76.0  13

# 4
For Sm6ZnSi2, a structure optimized by DFT (GGA-PBE) gives the computed XRD peak list in this record (Cu Kα (λ = 1.5418 Å)).
Lines closer than 0.1° are merged.

Crystal structure
```
Sm6ZnSi2
1.0
-4.890 4.921 5.129
4.890 -4.921 5.129
4.890 4.921 -5.129
Sm Zn Si
12 2 4
direct
0.052 0.250 0.802 Sm
0.176 0.267 0.443 Sm
0.176 0.733 0.909 Sm
0.326 0.031 0.705 Sm
0.326 0.621 0.295 Sm
0.448 0.250 0.198 Sm
0.552 0.750 0.802 Sm
0.674 0.379 0.705 Sm
0.674 0.969 0.295 Sm
0.824 0.267 0.091 Sm
0.824 0.733 0.557 Sm
0.948 0.750 0.198 Sm
0.000 0.000 0.000 Zn
0.500 0.500 0.000 Zn
0.116 0.616 0.500 Si
0.360 0.000 0.360 Si
0.640 0.000 0.640 Si
0.884 0.384 0.500 Si
```

Most intense lines, 15° ≤ 2θ ≤ 90°, by angle:
2theta  I (rel.)
25.2  26
27.6  28
28.6  23
28.9  23
31.1  100
33.2  38
33.7  36
34.1  47
36.8  28
57.7  19

# 5
For Pr7DyHo3, a structure optimized by DFT (GGA-PBE) gives the computed XRD peak list in this record (Cu Kα (λ = 1.5418 Å)).
Lines closer than 0.1° are merged.

Crystal structure
```
Pr7DyHo3
1.0
-2.977 5.708 5.743
2.977 -5.708 5.743
2.977 5.708 -5.743
Pr Dy Ho
7 1 3
direct
0.000 0.000 0.000 Pr
0.097 0.789 0.308 Pr
0.291 0.500 0.791 Pr
0.481 0.789 0.692 Pr
0.519 0.211 0.308 Pr
0.709 0.500 0.209 Pr
0.903 0.211 0.692 Pr
0.000 0.500 0.500 Dy
0.295 0.295 0.000 Ho
0.500 0.000 0.500 Ho
0.705 0.705 0.000 Ho
```

Most intense lines, 15° ≤ 2θ ≤ 90°, by angle:
2theta  I (rel.)
24.5  10
30.0  39
31.1  19
31.3  13
31.9  100
39.2  9
43.8  15
44.0  10
54.5  22
60.8  9

# 6
For Pm5Sm2YIn, a structure optimized by DFT (GGA-PBE) gives the computed XRD peak list in this record (Cu Kα (λ = 1.5418 Å)).
Lines closer than 0.1° are merged.

Crystal structure
```
Pm5Sm2YIn
1.0
2.756 -10.067 0.000
2.756 10.067 0.000
0.000 0.000 10.877
Pm Sm Y In
10 4 2 2
direct
0.000 0.000 0.000 Pm
0.000 0.000 0.500 Pm
0.118 0.882 0.750 Pm
0.210 0.790 0.049 Pm
0.210 0.790 0.451 Pm
0.486 0.514 0.750 Pm
0.514 0.486 0.250 Pm
0.790 0.210 0.549 Pm
0.790 0.210 0.951 Pm
0.882 0.118 0.250 Pm
0.384 0.616 0.045 Sm
0.384 0.616 0.455 Sm
0.616 0.384 0.545 Sm
0.616 0.384 0.955 Sm
0.298 0.702 0.750 Y
0.702 0.298 0.250 Y
0.095 0.905 0.250 In
0.905 0.095 0.750 In
```

Most intense lines, 15° ≤ 2θ ≤ 90°, by angle:
2theta  I (rel.)
26.6  14
27.8  11
29.8  28
32.1  100
32.5  33
32.9  16
45.0  14
46.9  12
57.7  19
60.9  10

# 7
For CePmCu4, a structure optimized by DFT (GGA-PBE) gives the computed XRD peak list in this record (Cu Kα (λ = 1.5418 Å)).
Lines closer than 0.1° are merged.

Crystal structure
```
CePmCu4
1.0
3.917 0.000 0.000
0.000 3.917 0.000
0.000 0.000 15.531
Ce Pm Cu
2 2 8
direct
0.000 0.000 0.000 Ce
0.500 0.500 0.500 Ce
0.000 0.500 0.250 Pm
0.500 0.000 0.750 Pm
0.000 0.000 0.420 Cu
0.000 0.000 0.580 Cu
0.000 0.500 0.670 Cu
0.000 0.500 0.830 Cu
0.500 0.000 0.170 Cu
0.500 0.000 0.330 Cu
0.500 0.500 0.080 Cu
0.500 0.500 0.920 Cu
```

Most intense lines, 15° ≤ 2θ ≤ 90°, by angle:
2theta  I (rel.)
22.9  11
28.6  30
34.4  100
36.9  56
46.4  36
47.1  32
60.7  25
67.7  11
68.2  20
78.1  18

# 8
For Ta5Mo3, a structure optimized by DFT (GGA-PBE) gives the computed XRD peak list in this record (Cu Kα (λ = 1.5418 Å)).
Lines closer than 0.1° are merged.

Crystal structure
```
Ta5Mo3
1.0
2.328 1.344 7.360
-2.328 1.344 7.360
0.000 -2.688 7.360
Ta Mo
5 3
direct
0.000 0.000 0.000 Ta
0.247 0.247 0.247 Ta
0.376 0.376 0.376 Ta
0.624 0.624 0.624 Ta
0.753 0.753 0.753 Ta
0.125 0.125 0.125 Mo
0.500 0.500 0.500 Mo
0.875 0.875 0.875 Mo
```

Most intense lines, 15° ≤ 2θ ≤ 90°, by angle:
2theta  I (rel.)
30.0  8
38.7  100
39.6  93
40.7  4
56.5  33
70.0  18
70.6  34
72.4  15
83.0  11
85.2  10

# 9
For Ca2TlBr5, a structure optimized by DFT (GGA-PBE) gives the computed XRD peak list in this record (Cu Kα (λ = 1.5418 Å)).
Lines closer than 0.1° are merged.

Crystal structure
```
Ca2TlBr5
1.0
4.467 0.000 0.000
0.000 7.441 0.000
0.000 0.000 15.554
Ca Tl Br
4 2 10
direct
0.000 0.000 0.185 Ca
0.000 0.000 0.815 Ca
0.500 0.500 0.315 Ca
0.500 0.500 0.685 Ca
0.000 0.500 0.000 Tl
0.500 0.000 0.500 Tl
0.000 0.000 0.000 Br
0.000 0.238 0.345 Br
0.000 0.238 0.655 Br
0.000 0.762 0.345 Br
0.000 0.762 0.655 Br
0.500 0.262 0.155 Br
0.500 0.262 0.845 Br
0.500 0.500 0.500 Br
0.500 0.738 0.155 Br
0.500 0.738 0.845 Br
```

Most intense lines, 15° ≤ 2θ ≤ 90°, by angle:
2theta  I (rel.)
26.3  90
26.6  38
31.8  100
33.3  46
34.6  34
40.4  33
43.0  30
49.0  28
52.1  28
53.3  24

# 10
For Na5B7C3, a structure optimized by DFT (GGA-PBE) gives the computed XRD peak list in this record (Cu Kα (λ = 1.5418 Å)).
Lines closer than 0.1° are merged.

Crystal structure
```
Na5B7C3
1.0
8.896 -1.425 0.000
8.896 1.425 0.000
-5.295 0.000 12.266
Na B C
10 14 6
direct
0.000 0.000 0.000 Na
0.000 0.000 0.500 Na
0.200 0.200 0.901 Na
0.201 0.201 0.399 Na
0.400 0.400 0.299 Na
0.402 0.402 0.801 Na
0.598 0.598 0.199 Na
0.600 0.600 0.701 Na
0.799 0.799 0.601 Na
0.800 0.800 0.099 Na
0.030 0.030 0.311 B
0.038 0.038 0.827 B
0.164 0.164 0.579 B
0.227 0.227 0.203 B
0.233 0.233 0.717 B
0.367 0.367 0.984 B
0.430 0.430 0.609 B
0.570 0.570 0.391 B
0.633 0.633 0.016 B
0.767 0.767 0.283 B
0.773 0.773 0.797 B
0.836 0.836 0.421 B
0.962 0.962 0.173 B
0.970 0.970 0.689 B
0.165 0.165 0.078 C
0.367 0.367 0.484 C
0.431 0.431 0.111 C
0.569 0.569 0.889 C
0.633 0.633 0.516 C
0.835 0.835 0.922 C
```

Most intense lines, 15° ≤ 2θ ≤ 90°, by angle:
2theta  I (rel.)
35.1  21
36.1  35
41.0  50
41.3  50
42.0  100
42.1  99
42.4  75
63.6  35
79.2  17
79.6  17

# 11
For Zn2CuF6, a structure optimized by DFT (GGA-PBE) gives the computed XRD peak list in this record (Cu Kα (λ = 1.5418 Å)).
Lines closer than 0.1° are merged.

Crystal structure
```
Zn2CuF6
1.0
5.325 0.000 0.000
0.000 4.872 0.000
-4.695 0.000 8.960
Zn Cu F
4 2 12
direct
0.180 0.037 0.189 Zn
0.180 0.463 0.689 Zn
0.820 0.537 0.311 Zn
0.820 0.963 0.811 Zn
0.500 0.000 0.000 Cu
0.500 0.500 0.500 Cu
0.146 0.725 0.829 F
0.146 0.775 0.329 F
0.178 0.185 0.996 F
0.178 0.315 0.496 F
0.496 0.200 0.829 F
0.496 0.300 0.329 F
0.504 0.700 0.671 F
0.504 0.800 0.171 F
0.822 0.685 0.504 F
0.822 0.815 0.004 F
0.854 0.225 0.671 F
0.854 0.275 0.171 F
```

Most intense lines, 15° ≤ 2θ ≤ 90°, by angle:
2theta  I (rel.)
20.8  100
24.8  17
31.2  52
32.7  38
33.4  17
39.3  18
50.6  23
50.9  27
52.1  20
54.6  17

# 12
For CsCaNi2Ru, a structure optimized by DFT (GGA-PBE) gives the computed XRD peak list in this record (Cu Kα (λ = 1.5418 Å)).
Lines closer than 0.1° are merged.

Crystal structure
```
CsCaNi2Ru
1.0
5.098 0.000 0.000
0.000 5.098 0.000
0.000 0.000 5.040
Cs Ca Ni Ru
1 1 2 1
direct
0.000 0.000 0.000 Cs
0.500 0.500 0.500 Ca
0.000 0.500 0.500 Ni
0.500 0.000 0.500 Ni
0.500 0.500 0.000 Ru
```

Most intense lines, 15° ≤ 2θ ≤ 90°, by angle:
2theta  I (rel.)
24.7  18
30.5  100
35.2  54
35.6  26
50.6  18
51.0  36
60.3  28
60.8  13
63.5  18
83.0  11